Diffraction record for Mn3Cl4O. The XRD peak list is theoretical, not measured: it uses a structure optimized by DFT (PBE+U) and Cu Kα, 1.54184 Å.
Peak positions follow from Bragg's law for the DFT cell and can differ from measured ones.

Top 6 peaks for 2θ from 10° to 90°, by angle:
2θ (°), d (Å), I/Imax
20.53, 4.327, 52
27.64, 3.227, 67
31.93, 2.803, 52
32.20, 2.780, 49
32.74, 2.735, 39
41.86, 2.158, 100

Atomic structure:
Cell: 6.877 6.877 9.361 Å, 110.19 110.19 55.28°
Positions (direct):
Mn 0.006 0.994 0.500
Mn 0.334 0.447 0.313
Mn 0.447 0.334 0.813
Mn 0.665 0.718 0.765
Mn 0.718 0.665 0.265
Mn 0.994 0.006 0.000
Cl 0.049 0.372 0.661
Cl 0.233 0.822 0.762
Cl 0.256 0.583 0.057
Cl 0.372 0.049 0.161
Cl 0.464 0.782 0.470
Cl 0.583 0.256 0.557
Cl 0.782 0.464 0.970
Cl 0.822 0.233 0.262
O 0.006 0.697 0.361
O 0.697 0.006 0.861